Starting from a crystal structure in Alexandria, relaxed with GGA-PBE, the powder X-ray diffraction pattern of InBiO3 was computed for λ = 1.5418 Å (Cu Kα).
No peak broadening, texture or thermal motion is included.

Peak list (6 most intense, 5 to 70 degrees two-theta, in order of rising 2θ)
(2 0 0), 2θ 29.65, rel. 21; (1 1 2), 2θ 30.16, rel. 100; (0 2 0), 2θ 31.29, rel. 25; (2 2 0), 2θ 43.65, rel. 18; (2 0 4), 2θ 52.89, rel. 19; (1 3 2), 2θ 54.98, rel. 27

Atomic structure:
Cell: 6.0261 5.7169 8.4711 Å, 90.00 90.00 90.00°
Space group Pna2_1 (No. 33)
Inequivalent atoms, fractional coordinates:
In1 0.0012 0.0012 0.0000
Bi1 0.0598 0.4976 0.7218
O1 0.0528 0.8863 0.2587
O2 0.1597 0.3397 0.4889
O3 0.2114 0.2991 0.0819

---

Starting from a crystal structure in Alexandria, relaxed with GGA-PBE, the powder X-ray diffraction pattern of Pa2SbTe2N was computed for λ = 1.5418 Å (Cu Kα).
No peak broadening, texture or thermal motion is included.

Peak list (6 most intense, 5 to 70 degrees two-theta, in order of rising 2θ)
(1 2 1), 2θ 22.88, rel. 35; (1 4 1), 2θ 31.94, rel. 100; (1 1 2), 2θ 33.23, rel. 40; (2 3 1), 2θ 33.83, rel. 78; (3 1 0), 2θ 35.60, rel. 46; (4 3 1), 2θ 53.92, rel. 38

Atomic structure:
Cell: 7.6907 14.0030 5.8835 Å, 90.00 90.00 90.00°
Space group Ibam (No. 72)
Inequivalent atoms, fractional coordinates:
Pa1 0.1622 0.0913 0.0000
Sb1 0.0000 0.5000 0.2500
Te1 0.1851 0.1944 0.5000
N1 0.0000 0.0000 0.2500

---

Starting from a crystal structure in Alexandria, relaxed with GGA-PBE, the powder X-ray diffraction pattern of Zn3Ni was computed for λ = 1.5418 Å (Cu Kα).
No peak broadening, texture or thermal motion is included.

Peak list (6 most intense, 5 to 70 degrees two-theta, in order of rising 2θ)
(1 0 1), 2θ 41.87, rel. 53; (1 1 -1), 2θ 42.60, rel. 100; (0 2 0), 2θ 42.97, rel. 49; (0 1 2), 2θ 43.41, rel. 94; (1 2 1), 2θ 61.55, rel. 32; (1 0 -3), 2θ 63.33, rel. 14

Atomic structure:
Cell: 2.6419 4.2094 4.8571 Å, 90.00 98.87 90.00°
Space group P2/m (No. 10)
Inequivalent atoms, fractional coordinates:
Zn1 0.0000 0.0000 0.0000
Zn2 0.2612 0.5000 0.7380
Ni1 0.5000 0.0000 0.5000